[1]
Starting from a GGA-PBE-relaxed structure, the powder diffraction line list of Tb3Ga9Pt2 was calculated for copper Kα.

Cell and atoms:
Lattice parameters (Å, degrees): 8.190 8.190 8.190 149.66 108.16 79.94
Sites, in units of the cell vectors:
Tb 0.000 0.000 0.000
Tb 0.304 0.304 0.000
Tb 0.696 0.696 0.000
Ga 0.024 0.656 0.368
Ga 0.142 0.861 0.281
Ga 0.288 0.656 0.632
Ga 0.421 0.139 0.281
Ga 0.500 0.000 0.500
Ga 0.579 0.861 0.719
Ga 0.712 0.344 0.368
Ga 0.858 0.139 0.719
Ga 0.976 0.344 0.632
Pt 0.308 0.500 0.808
Pt 0.692 0.500 0.192

Largest 8 diffraction maxima, low angle first, 10 to 90 degrees two-theta:
- 28.8 deg, 3.101 Å, rel. 14
- 35.3 deg, 2.542 Å, rel. 100
- 36.7 deg, 2.449 Å, rel. 16
- 37.9 deg, 2.375 Å, rel. 24
- 42.2 deg, 2.143 Å, rel. 27
- 43.2 deg, 2.092 Å, rel. 15
- 56.1 deg, 1.639 Å, rel. 12
- 62.0 deg, 1.497 Å, rel. 10

***

[2]
Starting from a GGA-PBE-relaxed structure, the powder diffraction line list of Te4Mo3WSe4 was calculated for copper Kα.

Cell and atoms:
Lattice parameters (Å, degrees): 3.437 3.437 39.053 90.00 90.00 120.00
Sites, in units of the cell vectors:
Te 0.000 0.000 0.000
Te 0.000 0.000 0.095
Te 0.333 0.667 0.436
Te 0.333 0.667 0.531
Mo 0.000 0.000 0.484
Mo 0.333 0.667 0.048
Mo 0.333 0.667 0.672
W 0.000 0.000 0.860
Se 0.000 0.000 0.630
Se 0.000 0.000 0.714
Se 0.333 0.667 0.818
Se 0.333 0.667 0.902

Largest 8 diffraction maxima, low angle first, 10 to 90 degrees two-theta:
- 11.3 deg, 7.811 Å, rel. 100
- 13.6 deg, 6.509 Å, rel. 18
- 30.0 deg, 2.974 Å, rel. 59
- 35.3 deg, 2.541 Å, rel. 98
- 42.8 deg, 2.114 Å, rel. 64
- 44.5 deg, 2.035 Å, rel. 22
- 53.3 deg, 1.718 Å, rel. 38
- 75.3 deg, 1.262 Å, rel. 18

***

What is the formula in the second record?
Te4Mo3WSe4